CoAgO2: simulated powder X-ray diffraction pattern (λ = 1.5418 Å (Cu Kα)), based on a cell relaxed with PBE+U.

Top 10 peaks for 15° ≤ 2θ ≤ 90°, sorted by position:
Position (°2θ), intensity, (hkl)
28.5, 46, 0 0 6
34.5, 19, 1 0 1
35.5, 100, 0 1 2
39.4, 48, 1 0 4
52.3, 38, 0 1 8
60.7, 23, 1 0 10
61.2, 24, 1 1 0
68.9, 21, 1 1 6
72.8, 11, 2 0 2
84.7, 8, 2 0 8

Structural model:
Cell lengths 3.0295, 3.0295, 18.7594 Å; angles 90.00, 90.00, 120.00 degrees
Space group R-3m (No. 166, hexagonal axes)
Symmetry-distinct sites (fractional):
Co (0.0000, 0.0000, 0.0000)
Ag (0.0000, 0.0000, 0.5000)
O (0.0000, 0.0000, 0.3880)